(1)
Structure and theoretical powder diffractogram of NaLa2CdRu (the PBE geometry in Alexandria; a wavelength of 1.5418 Å).
Neutral-atom scattering factors, no anomalous dispersion.

```
NaLa2CdRu
1.0
5.398 0.000 0.000
0.000 5.398 0.000
0.000 0.000 5.527
Na La Cd Ru
1 2 1 1
Direct
0.000 0.000 0.000
0.000 0.500 0.500
0.500 0.000 0.500
0.500 0.500 0.000
0.500 0.500 0.500
```

Peak list (10 most intense, 10 to 90 degrees two-theta, low angle first)
| d (Å) | 2theta | I/Imax |
| --- | --- | --- |
| 5.527 | 16.04 | 58.4 |
| 5.398 | 16.42 | 74.2 |
| 3.141 | 28.42 | 100.0 |
| 2.764 | 32.40 | 49.4 |
| 2.699 | 33.19 | 92.6 |
| 2.425 | 37.07 | 28.9 |
| 1.931 | 47.06 | 68.7 |
| 1.909 | 47.65 | 33.1 |
| 1.631 | 56.41 | 28.5 |
| 1.570 | 58.80 | 34.8 |


(2)
Structure and theoretical powder diffractogram of La6NdCd3 (the PBE geometry in Alexandria; a wavelength of 1.5418 Å).
Neutral-atom scattering factors, no anomalous dispersion.

```
La6NdCd3
1.0
6.609 -7.175 0.000
6.609 7.175 0.000
0.000 0.000 7.030
La Nd Cd
12 2 6
Direct
0.005 0.436 0.873
0.078 0.922 0.500
0.261 0.306 0.197
0.298 0.702 0.199
0.306 0.261 0.697
0.436 0.005 0.373
0.564 0.995 0.873
0.694 0.739 0.197
0.702 0.298 0.699
0.739 0.694 0.697
0.922 0.078 0.000
0.995 0.564 0.373
0.307 0.693 0.715
0.693 0.307 0.215
0.012 0.765 0.970
0.235 0.988 0.970
0.497 0.503 0.452
0.503 0.497 0.952
0.765 0.012 0.470
0.988 0.235 0.470
```

Peak list (10 most intense, 10 to 90 degrees two-theta, low angle first)
| d (Å) | 2theta | I/Imax |
| --- | --- | --- |
| 3.305 | 26.98 | 48.2 |
| 3.241 | 27.52 | 23.0 |
| 3.155 | 28.29 | 17.3 |
| 2.943 | 30.37 | 20.7 |
| 2.848 | 31.41 | 100.0 |
| 2.805 | 31.91 | 30.8 |
| 2.770 | 32.32 | 26.7 |
| 2.760 | 32.43 | 25.2 |
| 2.602 | 34.47 | 19.0 |
| 2.431 | 36.99 | 21.3 |


(3)
Structure and theoretical powder diffractogram of La2Nd5Cd (the PBE geometry in Alexandria; a wavelength of 1.5418 Å).
Neutral-atom scattering factors, no anomalous dispersion.

```
La2Nd5Cd
1.0
0.000 5.100 5.153
5.100 0.000 5.153
5.100 5.100 0.000
La Nd Cd
2 5 1
Direct
0.000 0.000 0.500
0.500 0.500 0.000
0.000 0.000 0.000
0.000 0.500 0.500
0.500 0.000 0.000
0.500 0.999 0.500
0.999 0.500 0.001
0.500 0.500 0.500
```

Peak list (10 most intense, 10 to 90 degrees two-theta, low angle first)
| d (Å) | 2theta | I/Imax |
| --- | --- | --- |
| 2.954 | 30.25 | 100.0 |
| 2.576 | 34.82 | 17.2 |
| 2.550 | 35.20 | 33.4 |
| 1.812 | 50.35 | 24.1 |
| 1.803 | 50.63 | 11.8 |
| 1.551 | 59.63 | 14.4 |
| 1.539 | 60.12 | 28.1 |
| 1.477 | 62.92 | 12.2 |
| 1.176 | 81.95 | 11.6 |
| 1.171 | 82.38 | 5.7 |


(4)
Structure and theoretical powder diffractogram of La12Nd3Cd (the PBE geometry in Alexandria; a wavelength of 1.5418 Å).
Neutral-atom scattering factors, no anomalous dispersion.

```
La12Nd3Cd
1.0
5.199 0.000 0.000
0.000 5.199 0.000
0.000 0.000 20.965
La Nd Cd
12 3 1
Direct
0.000 0.000 0.000
0.000 0.000 0.247
0.000 0.000 0.500
0.000 0.000 0.753
0.000 0.500 0.121
0.000 0.500 0.373
0.000 0.500 0.627
0.000 0.500 0.879
0.500 0.000 0.121
0.500 0.000 0.373
0.500 0.000 0.627
0.500 0.000 0.879
0.500 0.500 0.246
0.500 0.500 0.500
0.500 0.500 0.754
0.500 0.500 0.000
```

Peak list (10 most intense, 10 to 90 degrees two-theta, low angle first)
| d (Å) | 2theta | I/Imax |
| --- | --- | --- |
| 3.010 | 29.68 | 100.0 |
| 2.621 | 34.22 | 16.9 |
| 2.600 | 34.50 | 33.7 |
| 1.846 | 49.38 | 23.9 |
| 1.838 | 49.59 | 12.0 |
| 1.578 | 58.49 | 14.0 |
| 1.569 | 58.87 | 28.7 |
| 1.505 | 61.63 | 12.2 |
| 1.197 | 80.16 | 11.2 |
| 1.193 | 80.49 | 5.8 |


(5)
Structure and theoretical powder diffractogram of La3Nd3Cd (the PBE geometry in Alexandria; a wavelength of 1.5418 Å).
Neutral-atom scattering factors, no anomalous dispersion.

```
La3Nd3Cd
1.0
9.701 0.000 0.000
0.000 5.788 0.000
-4.850 0.000 8.407
La Nd Cd
6 6 2
Direct
0.021 0.250 0.132
0.132 0.750 0.611
0.390 0.750 0.022
0.610 0.250 0.978
0.868 0.250 0.389
0.979 0.750 0.868
0.256 0.750 0.318
0.318 0.250 0.561
0.439 0.250 0.257
0.561 0.750 0.743
0.682 0.750 0.439
0.744 0.250 0.682
0.167 0.250 0.834
0.833 0.750 0.166
```

Peak list (10 most intense, 10 to 90 degrees two-theta, low angle first)
| d (Å) | 2theta | I/Imax |
| --- | --- | --- |
| 3.176 | 28.09 | 24.1 |
| 2.894 | 30.90 | 25.3 |
| 2.785 | 32.14 | 100.0 |
| 2.139 | 42.24 | 15.9 |
| 1.834 | 49.72 | 18.4 |
| 1.649 | 55.74 | 20.7 |
| 1.549 | 59.69 | 21.2 |
| 1.532 | 60.44 | 14.8 |
| 1.176 | 81.96 | 11.5 |
| 1.136 | 85.47 | 7.8 |


(6)
Structure and theoretical powder diffractogram of LaNdCd6 (the PBE geometry in Alexandria; a wavelength of 1.5418 Å).
Neutral-atom scattering factors, no anomalous dispersion.

```
LaNdCd6
1.0
5.004 0.000 0.000
0.000 7.105 0.000
0.000 0.000 11.602
La Nd Cd
2 2 12
Direct
0.000 0.000 0.000
0.000 0.500 0.500
0.500 0.000 0.301
0.500 0.500 0.801
0.000 0.000 0.482
0.000 0.221 0.738
0.000 0.279 0.238
0.000 0.500 0.982
0.000 0.721 0.238
0.000 0.779 0.738
0.500 0.000 0.815
0.500 0.218 0.564
0.500 0.282 0.064
0.500 0.500 0.315
0.500 0.718 0.064
0.500 0.782 0.564
```

Peak list (10 most intense, 10 to 90 degrees two-theta, low angle first)
| d (Å) | 2theta | I/Imax |
| --- | --- | --- |
| 3.030 | 29.48 | 17.3 |
| 2.900 | 30.83 | 17.5 |
| 2.592 | 34.61 | 100.0 |
| 2.509 | 35.78 | 35.5 |
| 2.502 | 35.89 | 29.9 |
| 1.895 | 48.02 | 10.0 |
| 1.698 | 53.99 | 14.9 |
| 1.461 | 63.69 | 16.2 |
| 1.449 | 64.28 | 17.0 |
| 1.405 | 66.54 | 15.5 |


(7)
Structure and theoretical powder diffractogram of La3Nd8Cd4 (the PBE geometry in Alexandria; a wavelength of 1.5418 Å).
Neutral-atom scattering factors, no anomalous dispersion.

```
La3Nd8Cd4
1.0
6.741 -6.273 0.000
6.741 6.273 0.000
-3.196 0.000 5.934
La Nd Cd
3 8 4
Direct
0.000 0.000 0.000
0.000 0.500 0.500
0.500 0.000 0.500
0.247 0.247 0.909
0.257 0.743 0.000
0.263 0.737 0.500
0.336 0.336 0.478
0.664 0.664 0.522
0.737 0.263 0.500
0.743 0.257 0.000
0.753 0.753 0.091
0.000 0.000 0.500
0.000 0.500 0.000
0.500 0.000 0.000
0.500 0.500 0.000
```

Peak list (10 most intense, 10 to 90 degrees two-theta, low angle first)
| d (Å) | 2theta | I/Imax |
| --- | --- | --- |
| 3.137 | 28.46 | 69.7 |
| 2.967 | 30.12 | 100.0 |
| 2.893 | 30.90 | 26.0 |
| 2.682 | 33.41 | 16.5 |
| 2.627 | 34.12 | 14.0 |
| 2.549 | 35.21 | 13.6 |
| 2.155 | 41.91 | 69.6 |
| 2.127 | 42.51 | 24.3 |
| 1.484 | 62.61 | 21.0 |
| 1.386 | 67.56 | 15.6 |


(8)
Structure and theoretical powder diffractogram of La12NdCd3 (the PBE geometry in Alexandria; a wavelength of 1.5418 Å).
Neutral-atom scattering factors, no anomalous dispersion.

```
La12NdCd3
1.0
5.112 0.000 0.000
0.000 5.112 0.000
0.000 0.000 20.520
La Nd Cd
12 1 3
Direct
0.000 0.000 0.000
0.000 0.000 0.247
0.000 0.000 0.500
0.000 0.000 0.753
0.000 0.500 0.123
0.000 0.500 0.370
0.000 0.500 0.630
0.000 0.500 0.877
0.500 0.000 0.123
0.500 0.000 0.370
0.500 0.000 0.630
0.500 0.000 0.877
0.500 0.500 0.500
0.500 0.500 0.000
0.500 0.500 0.245
0.500 0.500 0.755
```

Peak list (10 most intense, 10 to 90 degrees two-theta, low angle first)
| d (Å) | 2theta | I/Imax |
| --- | --- | --- |
| 2.955 | 30.25 | 100.0 |
| 2.565 | 34.98 | 16.6 |
| 2.556 | 35.11 | 33.8 |
| 1.809 | 50.44 | 35.3 |
| 1.546 | 59.83 | 13.3 |
| 1.542 | 60.00 | 28.0 |
| 1.477 | 62.91 | 11.9 |
| 1.175 | 82.03 | 10.8 |
| 1.173 | 82.18 | 5.7 |
| 1.143 | 84.82 | 5.3 |


(9)
Structure and theoretical powder diffractogram of La3NdCd3 (the PBE geometry in Alexandria; a wavelength of 1.5418 Å).
Neutral-atom scattering factors, no anomalous dispersion.

```
La3NdCd3
1.0
5.606 -5.511 0.000
5.606 5.511 0.000
-0.001 0.000 7.346
La Nd Cd
6 2 6
Direct
0.235 0.765 0.000
0.237 0.763 0.500
0.243 0.243 0.999
0.757 0.757 0.001
0.763 0.237 0.500
0.765 0.235 0.000
0.249 0.249 0.500
0.751 0.751 0.500
0.000 0.500 0.254
0.000 0.500 0.746
0.500 0.000 0.254
0.500 0.000 0.746
0.500 0.500 0.249
0.500 0.500 0.751
```

Peak list (10 most intense, 10 to 90 degrees two-theta, low angle first)
| d (Å) | 2theta | I/Imax |
| --- | --- | --- |
| 2.803 | 31.93 | 28.4 |
| 2.756 | 32.49 | 26.2 |
| 2.683 | 33.39 | 100.0 |
| 1.965 | 46.20 | 19.4 |
| 1.836 | 49.64 | 8.2 |
| 1.594 | 57.84 | 20.0 |
| 1.577 | 58.54 | 18.0 |
| 1.536 | 60.25 | 9.0 |
| 1.528 | 60.59 | 8.5 |
| 1.342 | 70.14 | 10.8 |


(10)
Structure and theoretical powder diffractogram of La5Nd3Cd (the PBE geometry in Alexandria; a wavelength of 1.5418 Å).
Neutral-atom scattering factors, no anomalous dispersion.

```
La5Nd3Cd
1.0
5.494 -4.133 0.000
5.494 4.133 0.000
-0.101 0.000 14.613
La Nd Cd
10 6 2
Direct
0.002 0.002 0.751
0.017 0.485 0.338
0.173 0.827 0.000
0.284 0.284 0.131
0.485 0.017 0.338
0.515 0.983 0.662
0.716 0.716 0.869
0.827 0.173 0.000
0.983 0.515 0.662
0.998 0.998 0.249
0.138 0.138 0.506
0.278 0.278 0.864
0.500 0.500 0.000
0.500 0.500 0.500
0.722 0.722 0.136
0.862 0.862 0.494
0.494 0.494 0.722
0.506 0.506 0.278
```

Peak list (10 most intense, 10 to 90 degrees two-theta, low angle first)
| d (Å) | 2theta | I/Imax |
| --- | --- | --- |
| 4.133 | 21.50 | 51.6 |
| 3.263 | 27.33 | 49.5 |
| 3.222 | 27.69 | 72.2 |
| 3.152 | 28.32 | 100.0 |
| 3.052 | 29.27 | 96.4 |
| 3.033 | 29.45 | 98.4 |
| 3.010 | 29.68 | 35.2 |
| 2.744 | 32.63 | 91.9 |
| 2.728 | 32.83 | 39.7 |
| 2.067 | 43.81 | 43.8 |


(11)
Structure and theoretical powder diffractogram of La7Nd3Cd (the PBE geometry in Alexandria; a wavelength of 1.5418 Å).
Neutral-atom scattering factors, no anomalous dispersion.

```
La7Nd3Cd
1.0
5.852 -5.282 0.000
5.852 5.282 0.000
-0.177 0.000 6.561
La Nd Cd
7 3 1
Direct
0.000 0.000 0.000
0.041 0.384 0.719
0.259 0.259 0.202
0.384 0.041 0.719
0.616 0.959 0.281
0.741 0.741 0.798
0.959 0.616 0.281
0.334 0.666 0.000
0.500 0.500 0.500
0.666 0.334 0.000
0.000 0.000 0.500
```

Peak list (10 most intense, 10 to 90 degrees two-theta, low angle first)
| d (Å) | 2theta | I/Imax |
| --- | --- | --- |
| 3.339 | 26.70 | 19.5 |
| 3.008 | 29.70 | 100.0 |
| 2.925 | 30.56 | 44.8 |
| 2.895 | 30.89 | 55.3 |
| 2.829 | 31.63 | 41.6 |
| 2.614 | 34.31 | 25.6 |
| 2.413 | 37.27 | 40.6 |
| 1.880 | 48.41 | 17.0 |
| 1.692 | 54.20 | 24.6 |
| 1.504 | 61.66 | 15.3 |


(12)
Structure and theoretical powder diffractogram of La5Nd5Cd2 (the PBE geometry in Alexandria; a wavelength of 1.5418 Å).
Neutral-atom scattering factors, no anomalous dispersion.

```
La5Nd5Cd2
1.0
6.287 -2.832 0.000
6.287 2.832 0.000
-0.021 0.000 11.457
La Nd Cd
5 5 2
Direct
0.000 0.000 0.000
0.320 0.320 0.535
0.482 0.482 0.249
0.518 0.518 0.751
0.680 0.680 0.465
0.000 0.000 0.500
0.183 0.183 0.247
0.317 0.317 0.963
0.683 0.683 0.037
0.817 0.817 0.753
0.147 0.147 0.749
0.853 0.853 0.251
```

Peak list (10 most intense, 10 to 90 degrees two-theta, low angle first)
| d (Å) | 2theta | I/Imax |
| --- | --- | --- |
| 3.070 | 29.08 | 9.3 |
| 2.904 | 30.79 | 100.0 |
| 2.864 | 31.23 | 21.3 |
| 2.832 | 31.60 | 27.2 |
| 2.095 | 43.17 | 10.2 |
| 2.014 | 45.02 | 15.4 |
| 1.684 | 54.47 | 8.1 |
| 1.661 | 55.30 | 10.8 |
| 1.648 | 55.77 | 18.5 |
| 1.278 | 74.18 | 6.7 |